Starting from a DFT-relaxed cell (GGA-PBE, the Materials Project), the powder diffractogram of Gd2BiO2 was calculated for Cu Kα, 1.54184 Å.
Peak positions follow from Bragg's law for the DFT cell and can differ from measured ones.

Top 12 peaks for 10 to 80 degrees two-theta, in order of rising 2θ:
| d (Å) | Position (°2θ) | Rel. int. |
| --- | --- | --- |
| 2.989 | 29.89 | 100 |
| 2.787 | 32.11 | 36 |
| 2.583 | 34.73 | 2 |
| 2.293 | 39.30 | 11 |
| 1.971 | 46.05 | 17 |
| 1.771 | 51.62 | 25 |
| 1.645 | 55.88 | 35 |
| 1.495 | 62.11 | 12 |
| 1.425 | 65.50 | 11 |
| 1.394 | 67.17 | 6 |
| 1.263 | 75.23 | 7 |
| 1.247 | 76.41 | 6 |

Structure:
Unit cell a=7.421 b=7.421 c=7.421 alpha=149.20 beta=149.20 gamma=44.12
Sites, in units of the cell vectors:
Gd  0.167  0.167  0.000
Gd  0.833  0.833  0.000
Bi  0.500  0.500  0.000
O  0.250  0.750  0.500
O  0.750  0.250  0.500

=====

Starting from a DFT-relaxed cell (GGA-PBE, the Materials Project), the powder diffractogram of HfTaTc2 was calculated for Cu Kα, 1.54184 Å.
Peak positions follow from Bragg's law for the DFT cell and can differ from measured ones.

Top 6 peaks for 10 to 80 degrees two-theta, in order of rising 2θ:
| d (Å) | Position (°2θ) | Rel. int. |
| --- | --- | --- |
| 3.225 | 27.66 | 9 |
| 2.280 | 39.52 | 100 |
| 1.862 | 48.92 | 3 |
| 1.612 | 57.13 | 17 |
| 1.442 | 64.63 | 4 |
| 1.316 | 71.69 | 34 |

Structure:
Unit cell a=4.560 b=4.560 c=4.560 alpha=60.00 beta=60.00 gamma=60.00
Sites, in units of the cell vectors:
Hf  0.000  0.000  0.000
Ta  0.500  0.500  0.500
Tc  0.250  0.250  0.250
Tc  0.750  0.750  0.750

=====

Starting from a DFT-relaxed cell (GGA-PBE, the Materials Project), the powder diffractogram of YCu3S3 was calculated for Cu Kα, 1.54184 Å.
Peak positions follow from Bragg's law for the DFT cell and can differ from measured ones.

Top 12 peaks for 10 to 80 degrees two-theta, in order of rising 2θ:
| d (Å) | Position (°2θ) | Rel. int. |
| --- | --- | --- |
| 5.531 | 16.02 | 19 |
| 4.944 | 17.94 | 13 |
| 3.336 | 26.72 | 10 |
| 2.955 | 30.25 | 100 |
| 2.303 | 39.12 | 93 |
| 2.121 | 42.62 | 14 |
| 1.926 | 47.18 | 76 |
| 1.790 | 51.02 | 30 |
| 1.614 | 57.08 | 17 |
| 1.477 | 62.90 | 21 |
| 1.426 | 65.45 | 22 |
| 1.237 | 77.11 | 12 |

Structure:
Unit cell a=7.439 b=7.439 c=7.439 alpha=53.29 beta=53.29 gamma=53.29
Sites, in units of the cell vectors:
Y  0.166  0.166  0.166
Y  0.834  0.834  0.834
Cu  0.039  0.715  0.376
Cu  0.285  0.624  0.961
Cu  0.376  0.039  0.715
Cu  0.624  0.961  0.285
Cu  0.715  0.376  0.039
Cu  0.961  0.285  0.624
S  0.082  0.417  0.749
S  0.251  0.918  0.583
S  0.417  0.749  0.082
S  0.583  0.251  0.918
S  0.749  0.082  0.417
S  0.918  0.583  0.251

=====

Starting from a DFT-relaxed cell (GGA-PBE, the Materials Project), the powder diffractogram of Mn3InN3 was calculated for Cu Kα, 1.54184 Å.
Peak positions follow from Bragg's law for the DFT cell and can differ from measured ones.

Top 12 peaks for 10 to 80 degrees two-theta, in order of rising 2θ:
| d (Å) | Position (°2θ) | Rel. int. |
| --- | --- | --- |
| 7.567 | 11.69 | 16 |
| 3.784 | 23.51 | 75 |
| 2.768 | 32.34 | 8 |
| 2.522 | 35.59 | 12 |
| 2.338 | 38.50 | 100 |
| 2.184 | 41.33 | 49 |
| 2.062 | 43.92 | 10 |
| 1.892 | 48.10 | 7 |
| 1.596 | 57.76 | 29 |
| 1.289 | 73.47 | 25 |
| 1.261 | 75.36 | 8 |
| 1.229 | 77.67 | 14 |

Structure:
Unit cell a=8.733 b=2.975 c=8.739 alpha=90.00 beta=119.97 gamma=90.00
Sites, in units of the cell vectors:
Mn  0.151  0.250  0.344
Mn  0.192  0.250  0.849
Mn  0.343  0.750  0.192
Mn  0.657  0.250  0.808
Mn  0.808  0.750  0.151
Mn  0.849  0.750  0.656
In  0.334  0.750  0.667
In  0.666  0.250  0.333
N  0.030  0.750  0.324
N  0.294  0.750  0.970
N  0.323  0.250  0.294
N  0.677  0.750  0.706
N  0.706  0.250  0.030
N  0.970  0.250  0.676

=====

Starting from a DFT-relaxed cell (GGA-PBE, the Materials Project), the powder diffractogram of Na4Sr2TiAs4 was calculated for Cu Kα, 1.54184 Å.
Peak positions follow from Bragg's law for the DFT cell and can differ from measured ones.

Top 12 peaks for 10 to 80 degrees two-theta, in order of rising 2θ:
| d (Å) | Position (°2θ) | Rel. int. |
| --- | --- | --- |
| 8.343 | 10.60 | 79 |
| 5.633 | 15.73 | 26 |
| 3.660 | 24.32 | 54 |
| 2.916 | 30.66 | 51 |
| 2.814 | 31.80 | 100 |
| 2.613 | 34.32 | 38 |
| 2.431 | 36.97 | 40 |
| 2.409 | 37.32 | 69 |
| 2.170 | 41.61 | 28 |
| 1.773 | 51.56 | 13 |
| 1.632 | 56.38 | 14 |
| 1.530 | 60.50 | 24 |

Structure:
Unit cell a=9.644 b=9.644 c=7.623 alpha=90.09 beta=90.09 gamma=120.13
Sites, in units of the cell vectors:
Na  0.069  0.931  0.500
Na  0.325  0.856  0.175
Na  0.521  0.666  0.014
Na  0.664  0.942  0.509
Na  0.666  0.521  0.514
Na  0.856  0.325  0.675
Na  0.931  0.069  0.000
Na  0.942  0.664  0.009
Sr  0.262  0.319  0.678
Sr  0.265  0.742  0.679
Sr  0.319  0.262  0.178
Sr  0.742  0.265  0.179
Ti  0.134  0.470  0.289
Ti  0.470  0.134  0.789
As  0.132  0.460  0.962
As  0.181  0.991  0.887
As  0.414  0.603  0.397
As  0.460  0.132  0.462
As  0.603  0.414  0.897
As  0.604  0.988  0.891
As  0.988  0.604  0.391
As  0.991  0.181  0.387

=====

Starting from a DFT-relaxed cell (GGA-PBE, the Materials Project), the powder diffractogram of La6Si7Br3 was calculated for Cu Kα, 1.54184 Å.
Peak positions follow from Bragg's law for the DFT cell and can differ from measured ones.

Top 12 peaks for 10 to 80 degrees two-theta, in order of rising 2θ:
| d (Å) | Position (°2θ) | Rel. int. |
| --- | --- | --- |
| 3.986 | 22.30 | 26 |
| 3.917 | 22.70 | 37 |
| 3.447 | 25.85 | 19 |
| 2.972 | 30.07 | 18 |
| 2.941 | 30.39 | 16 |
| 2.870 | 31.17 | 41 |
| 2.651 | 33.81 | 100 |
| 2.559 | 35.06 | 19 |
| 2.432 | 36.96 | 21 |
| 2.416 | 37.22 | 28 |
| 2.074 | 43.63 | 26 |
| 1.795 | 50.86 | 21 |

Structure:
Unit cell a=4.149 b=16.925 c=11.887 alpha=90.00 beta=90.00 gamma=90.00
Sites, in units of the cell vectors:
La  0.250  0.006  0.142
La  0.250  0.130  0.435
La  0.250  0.250  0.142
La  0.250  0.370  0.435
La  0.250  0.494  0.142
La  0.250  0.750  0.158
La  0.750  0.250  0.842
La  0.750  0.506  0.858
La  0.750  0.630  0.565
La  0.750  0.750  0.858
La  0.750  0.870  0.565
La  0.750  0.994  0.858
Si  0.250  0.127  0.934
Si  0.250  0.373  0.934
Si  0.250  0.626  0.754
Si  0.250  0.626  0.958
Si  0.250  0.750  0.653
Si  0.250  0.874  0.754
Si  0.250  0.874  0.958
Si  0.750  0.126  0.042
Si  0.750  0.126  0.246
Si  0.750  0.250  0.347
Si  0.750  0.374  0.042
Si  0.750  0.374  0.246
Si  0.750  0.627  0.066
Si  0.750  0.873  0.066
Br  0.250  0.250  0.638
Br  0.250  0.558  0.392
Br  0.250  0.942  0.392
Br  0.750  0.058  0.608
Br  0.750  0.442  0.608
Br  0.750  0.750  0.362

=====

Repeat the fifth record exactly.
Starting from a DFT-relaxed cell (GGA-PBE, the Materials Project), the powder diffractogram of Na4Sr2TiAs4 was calculated for Cu Kα, 1.54184 Å.
Peak positions follow from Bragg's law for the DFT cell and can differ from measured ones.

Top 12 peaks for 10 to 80 degrees two-theta, in order of rising 2θ:
| d (Å) | Position (°2θ) | Rel. int. |
| --- | --- | --- |
| 8.343 | 10.60 | 79 |
| 5.633 | 15.73 | 26 |
| 3.660 | 24.32 | 54 |
| 2.916 | 30.66 | 51 |
| 2.814 | 31.80 | 100 |
| 2.613 | 34.32 | 38 |
| 2.431 | 36.97 | 40 |
| 2.409 | 37.32 | 69 |
| 2.170 | 41.61 | 28 |
| 1.773 | 51.56 | 13 |
| 1.632 | 56.38 | 14 |
| 1.530 | 60.50 | 24 |

Structure:
Unit cell a=9.644 b=9.644 c=7.623 alpha=90.09 beta=90.09 gamma=120.13
Sites, in units of the cell vectors:
Na  0.069  0.931  0.500
Na  0.325  0.856  0.175
Na  0.521  0.666  0.014
Na  0.664  0.942  0.509
Na  0.666  0.521  0.514
Na  0.856  0.325  0.675
Na  0.931  0.069  0.000
Na  0.942  0.664  0.009
Sr  0.262  0.319  0.678
Sr  0.265  0.742  0.679
Sr  0.319  0.262  0.178
Sr  0.742  0.265  0.179
Ti  0.134  0.470  0.289
Ti  0.470  0.134  0.789
As  0.132  0.460  0.962
As  0.181  0.991  0.887
As  0.414  0.603  0.397
As  0.460  0.132  0.462
As  0.603  0.414  0.897
As  0.604  0.988  0.891
As  0.988  0.604  0.391
As  0.991  0.181  0.387